Record 1
Starting from a crystal structure in Alexandria, relaxed with PBE, the X-ray powder pattern of LaTbSm2Er2 was simulated for Cu Kα, 1.54184 Å.
Lines closer than 0.1° are merged.

Main lines, low angle first (10 to 80 degrees two-theta):
two_theta, d/Å, I/Imax
27.80, 3.209, 43.6
30.15, 2.965, 100.0
33.02, 2.713, 36.7
33.83, 2.650, 46.5
36.57, 2.457, 58.7
54.00, 1.698, 29.7
61.66, 1.504, 26.2
63.18, 1.472, 15.4

Atomic structure:
Unit cell a=6.9828 b=16.2788 c=3.5395 alpha=90.00 beta=90.00 gamma=90.00
Space group Pnnm (No. 58)
Unique sites:
La 0.0000 0.0000 0.0000 x2
Tb 0.0000 0.5000 0.5000 x2
Sm 0.2472 0.3395 0.0000 x4
Er 0.2494 0.1546 0.5000 x4



Record 2
Starting from a crystal structure in Alexandria, relaxed with PBE, the X-ray powder pattern of BaNaGe2Mo was simulated for Cu Kα, 1.54184 Å.
Lines closer than 0.1° are merged.

Main lines, low angle first (10 to 80 degrees two-theta):
two_theta, d/Å, I/Imax
29.55, 3.023, 100.0
34.18, 2.623, 43.9
34.38, 2.608, 21.6
49.12, 1.855, 15.4
49.27, 1.850, 30.5
58.37, 1.581, 28.4
58.63, 1.575, 14.0
61.33, 1.512, 15.6

Atomic structure:
Unit cell a=5.2464 b=5.2464 c=5.2169 alpha=90.00 beta=90.00 gamma=90.00
Space group P4/mmm (No. 123)
Unique sites:
Ba 0.0000 0.0000 0.0000 x1
Na 0.5000 0.5000 0.5000 x1
Ge 0.0000 0.5000 0.5000 x2
Mo 0.5000 0.5000 0.0000 x1



Record 3
Starting from a crystal structure in Alexandria, relaxed with PBE, the X-ray powder pattern of TeMoW was simulated for Cu Kα, 1.54184 Å.
Lines closer than 0.1° are merged.

Main lines, low angle first (10 to 80 degrees two-theta):
two_theta, d/Å, I/Imax
35.50, 2.529, 100.0
39.66, 2.273, 73.6
42.00, 2.151, 31.3
44.57, 2.033, 52.7
62.90, 1.478, 37.6
72.52, 1.303, 12.4
73.55, 1.288, 23.7
75.15, 1.264, 22.4

Atomic structure:
Unit cell a=3.1257 b=4.3023 c=8.0305 alpha=90.00 beta=90.00 gamma=90.00
Space group Imm2 (No. 44)
Unique sites:
Te 0.0000 0.0000 0.0000 x2
Mo 0.0000 0.0000 0.3330 x2
W 0.0000 0.0000 0.6660 x2



Record 4
Starting from a crystal structure in Alexandria, relaxed with PBE, the X-ray powder pattern of Mg3In2Sn was simulated for Cu Kα, 1.54184 Å.
Lines closer than 0.1° are merged.

Main lines, low angle first (10 to 80 degrees two-theta):
two_theta, d/Å, I/Imax
23.63, 3.765, 58.7
26.31, 3.387, 22.6
33.48, 2.676, 29.7
33.84, 2.649, 28.7
35.66, 2.518, 100.0
48.35, 1.883, 20.7
61.28, 1.513, 20.2
61.72, 1.503, 19.5

Atomic structure:
Unit cell a=5.3523 b=15.8938 c=3.3869 alpha=90.00 beta=90.00 gamma=90.00
Space group Cmmm (No. 65)
Unique sites:
Mg 0.0000 0.0000 0.0000 x2
Mg 0.0000 0.3374 0.0000 x4
In 0.0000 0.1687 0.5000 x4
Sn 0.0000 0.5000 0.5000 x2



Record 5
Starting from a crystal structure in Alexandria, relaxed with PBE, the X-ray powder pattern of Ti12In6C was simulated for Cu Kα, 1.54184 Å.
Lines closer than 0.1° are merged.

Main lines, low angle first (10 to 80 degrees two-theta):
two_theta, d/Å, I/Imax
28.26, 3.157, 24.0
30.20, 2.959, 84.7
35.20, 2.549, 100.0
35.30, 2.542, 35.0
38.27, 2.352, 45.9
41.84, 2.159, 70.9
45.12, 2.009, 25.9
54.70, 1.678, 27.3

Atomic structure:
Unit cell a=10.9376 b=10.9376 c=10.5563 alpha=90.00 beta=90.00 gamma=120.00
Space group R-3 (No. 148, hexagonal axes)
Unique sites:
Ti 0.0306 0.8743 0.3814 x18
Ti 0.0354 0.1615 0.8741 x18
In 0.0014 0.6142 0.2537 x18
C 0.0000 0.0000 0.0000 x3



Record 6
Starting from a crystal structure in Alexandria, relaxed with PBE, the X-ray powder pattern of Cu7Cl6 was simulated for Cu Kα, 1.54184 Å.
Lines closer than 0.1° are merged.

Main lines, low angle first (10 to 80 degrees two-theta):
two_theta, d/Å, I/Imax
18.03, 4.921, 91.7
18.41, 4.820, 100.0
36.11, 2.487, 40.1
38.13, 2.360, 34.3
39.31, 2.292, 61.0
42.30, 2.137, 63.2
48.15, 1.890, 49.0
50.41, 1.810, 36.7

Atomic structure:
Unit cell a=5.7658 b=5.7658 c=28.9209 alpha=90.00 beta=90.00 gamma=120.00
Space group R-3m (No. 166, hexagonal axes)
Unique sites:
Cu 0.0000 0.0000 0.0000 x3
Cu 0.0394 0.5197 0.5939 x18
Cl 0.0000 0.0000 0.1328 x6
Cl 0.0000 0.0000 0.3017 x6
Cl 0.0000 0.0000 0.4187 x6



Record 7
Starting from a crystal structure in Alexandria, relaxed with PBE, the X-ray powder pattern of CeTh4C4 was simulated for Cu Kα, 1.54184 Å.
Lines closer than 0.1° are merged.

Main lines, low angle first (10 to 80 degrees two-theta):
two_theta, d/Å, I/Imax
29.21, 3.057, 100.0
33.61, 2.666, 20.5
33.98, 2.638, 39.5
48.54, 1.875, 29.2
48.82, 1.866, 14.4
57.42, 1.605, 16.0
57.91, 1.592, 30.2
60.57, 1.529, 15.2

Atomic structure:
Unit cell a=8.3431 b=8.3431 c=5.3328 alpha=90.00 beta=90.00 gamma=90.00
Space group I4/m (No. 87)
Unique sites:
Ce 0.0000 0.0000 0.0000 x2
Th 0.1038 0.6939 0.5000 x8
C 0.0894 0.7029 0.0000 x8



Record 8
Starting from a crystal structure in Alexandria, relaxed with PBE, the X-ray powder pattern of Tb3Pm2Th4 was simulated for Cu Kα, 1.54184 Å.
Lines closer than 0.1° are merged.

Main lines, low angle first (10 to 80 degrees two-theta):
two_theta, d/Å, I/Imax
30.52, 2.929, 100.0
35.33, 2.541, 34.2
35.52, 2.527, 16.8
50.93, 1.793, 18.5
50.99, 1.791, 12.2
60.40, 1.533, 11.0
60.48, 1.531, 18.4
60.72, 1.525, 14.5

Atomic structure:
Unit cell a=6.2005 b=6.2124 c=9.4792 alpha=71.13 beta=71.24 gamma=60.07
Space group P-1 (No. 2)
Unique sites:
Tb 0.0000 0.0000 0.0000 x1
Tb 0.4466 0.1100 0.6692 x2
Pm 0.2234 0.5597 0.3290 x2
Th 0.1075 0.7762 0.6699 x2
Th 0.3285 0.3314 0.0004 x2



- What is the formula in the fourth record?
  Mg3In2Sn